RbLi2Ga2B3O9: computed powder X-ray diffraction pattern (Cu Ka), based on a DFT-relaxed cell (GGA-PBE, Alexandria).

The 6 most intense peaks (2θ = 15–90°), by angle:
| (hkl) | two_theta | I_rel |
| --- | --- | --- |
| 1 0 2 | 19.85 | 32 |
| 1 1 -1 | 23.25 | 83 |
| 0 1 3 | 27.29 | 91 |
| 2 0 -2 | 30.15 | 100 |
| 1 1 3 | 31.10 | 31 |
| 2 0 2 | 31.44 | 41 |

Crystal structure
```
RbLi2Ga2B3O9
1.0
6.506 0.000 0.000
0.000 5.009 0.000
-0.656 0.000 12.938
Rb Li Ga B O
2 4 4 6 18
direct
0.000 0.212 0.250
0.000 0.788 0.750
0.497 0.170 0.367
0.497 0.830 0.867
0.503 0.170 0.133
0.503 0.830 0.633
0.234 0.314 0.564
0.234 0.686 0.064
0.766 0.314 0.936
0.766 0.686 0.436
0.191 0.183 0.959
0.191 0.817 0.459
0.500 0.337 0.750
0.500 0.663 0.250
0.809 0.183 0.541
0.809 0.817 0.041
0.036 0.290 0.895
0.036 0.710 0.395
0.245 0.087 0.449
0.245 0.913 0.949
0.297 0.333 0.034
0.297 0.667 0.534
0.401 0.181 0.671
0.401 0.819 0.171
0.500 0.396 0.250
0.500 0.604 0.750
0.599 0.181 0.829
0.599 0.819 0.329
0.703 0.333 0.466
0.703 0.667 0.966
0.755 0.087 0.051
0.755 0.913 0.551
0.964 0.290 0.605
0.964 0.710 0.105
```